(1)
# Sr8CdN4
Calculated X-ray diffraction stick pattern, Cu Kα. Input: a structure optimized by DFT (GGA-PBE).
Neutral-atom scattering factors, no anomalous dispersion.

Principal peaks in the range 2θ from 10° to 80°, low angle first:
(hkl)	d [Å]	Position (°2θ)	I/Imax
1 1 1	6.657	13.3	20
2 2 2	3.328	26.8	100
4 0 0	2.882	31.0	46
3 3 1	2.645	33.9	30
5 1 1	2.219	40.7	47
4 4 0	2.038	44.4	53
6 2 2	1.738	52.7	27
5 5 1	1.615	57.0	18

Cell: 11.5300 11.5300 11.5300 Å, 90.00 90.00 90.00°
Space group F-43m (No. 216)
Inequivalent atoms, fractional coordinates:
Sr: 0.1022 0.1022 0.1022
Sr: 0.1414 0.1414 0.6414
Cd: 0.2500 0.2500 0.2500
N: 0.1258 0.1258 0.8742

(2)
# Li2AcI6
Calculated X-ray diffraction stick pattern, Cu Kα. Input: a structure optimized by DFT (GGA-PBE).
Neutral-atom scattering factors, no anomalous dispersion.

Principal peaks in the range 2θ from 10° to 80°, low angle first:
(hkl)	d [Å]	Position (°2θ)	I/Imax
2 0 2	3.781	23.5	21
1 1 -2	3.683	24.2	31
2 0 -3	3.538	25.2	25
3 1 0	3.494	25.5	100
2 0 -4	2.700	33.2	27
0 2 0	2.516	35.7	41
5 1 -3	2.319	38.8	20
1 1 4	2.206	40.9	28

Cell: 15.1417 5.0333 10.8511 Å, 90.00 105.85 90.00°
Space group C2/m (No. 12)
Inequivalent atoms, fractional coordinates:
Li: 0.2126 0.0000 0.1530
Ac: 0.0000 0.0000 0.5000
I: 0.0445 0.0000 0.2290
I: 0.1486 0.5000 0.5968
I: 0.1702 0.5000 0.0443

(3)
# TlGe4O8
Calculated X-ray diffraction stick pattern, Cu Kα. Input: a structure optimized by DFT (GGA-PBE).
Neutral-atom scattering factors, no anomalous dispersion.

Principal peaks in the range 2θ from 10° to 80°, low angle first:
(hkl)	d [Å]	Position (°2θ)	I/Imax
0 0 1	8.232	10.7	98
1 0 1	4.199	21.2	42
1 0 2	3.147	28.4	100
1 1 0	2.818	31.7	77
1 1 1	2.667	33.6	53
1 0 3	2.392	37.6	26
2 1 2	1.684	54.5	31
1 1 4	1.662	55.3	24

Cell: 5.6370 5.6370 8.2324 Å, 90.00 90.00 120.00°
Space group P-31m (No. 162)
Inequivalent atoms, fractional coordinates:
Tl: 0.0000 0.0000 0.0000
Ge: 0.3333 0.6667 0.2190
O: 0.0000 0.4000 0.7168
O: 0.3333 0.6667 0.0000

(4)
# Dy4HoSc7
Calculated X-ray diffraction stick pattern, Cu Kα. Input: a structure optimized by DFT (GGA-PBE).
Neutral-atom scattering factors, no anomalous dispersion.

Principal peaks in the range 2θ from 10° to 80°, low angle first:
(hkl)	d [Å]	Position (°2θ)	I/Imax
1 1 1	4.145	21.4	100
3 1 -1	3.102	28.8	32
2 0 -4	2.974	30.0	46
3 1 -3	2.812	31.8	95
4 0 -1	2.773	32.3	41
0 2 0	2.763	32.4	98
1 1 3	2.663	33.6	82
3 1 1	2.589	34.6	53

Cell: 11.3179 5.5266 11.9825 Å, 90.00 114.87 90.00°
Space group C2/m (No. 12)
Inequivalent atoms, fractional coordinates:
Dy: 0.0957 0.0000 0.2955
Dy: 0.1293 0.5000 0.7740
Ho: 0.0000 0.5000 0.0000
Sc: 0.0000 0.0000 0.0000
Sc: 0.1297 0.5000 0.4841
Sc: 0.1516 0.0000 0.6188
Sc: 0.2072 0.0000 0.9152

> Which formula does entry 1 have?

Sr8CdN4

Repeat the second record exactly.
# Li2AcI6
Calculated X-ray diffraction stick pattern, Cu Kα. Input: a structure optimized by DFT (GGA-PBE).
Neutral-atom scattering factors, no anomalous dispersion.

Principal peaks in the range 2θ from 10° to 80°, low angle first:
(hkl)	d [Å]	Position (°2θ)	I/Imax
2 0 2	3.781	23.5	21
1 1 -2	3.683	24.2	31
2 0 -3	3.538	25.2	25
3 1 0	3.494	25.5	100
2 0 -4	2.700	33.2	27
0 2 0	2.516	35.7	41
5 1 -3	2.319	38.8	20
1 1 4	2.206	40.9	28

Cell: 15.1417 5.0333 10.8511 Å, 90.00 105.85 90.00°
Space group C2/m (No. 12)
Inequivalent atoms, fractional coordinates:
Li: 0.2126 0.0000 0.1530
Ac: 0.0000 0.0000 0.5000
I: 0.0445 0.0000 0.2290
I: 0.1486 0.5000 0.5968
I: 0.1702 0.5000 0.0443